1.
# Pm2NdCd2Pb2
Computed X-ray diffraction stick pattern, λ = 1.5418 Å (Cu Kα). Input: a DFT-relaxed cell (GGA-PBE, Alexandria).

Structure:
```
data_Pm2NdCd2Pb2
_chemical_formula_sum 'Pm6 Nd3 Cd6 Pb6'
_cell_length_a 5.1299
_cell_length_b 5.1299
_cell_length_c 27.0690
_cell_angle_alpha 90.00
_cell_angle_beta 90.00
_cell_angle_gamma 120.00
_symmetry_space_group_name_H-M 'R -3 m'
_symmetry_Int_Tables_number 166
_symmetry_space_group_name_Hall '-R 3 2"'
loop_
_atom_site_label
_atom_site_type_symbol
_atom_site_fract_x
_atom_site_fract_y
_atom_site_fract_z
_atom_site_occupancy
Pm1 Pm 0.0000 0.0000 0.1330 1
Nd1 Nd 0.0000 0.0000 0.0000 1
Cd1 Cd 0.0000 0.0000 0.4279 1
Pb1 Pb 0.0000 0.0000 0.2705 1
```

Principal peaks in the range 2θ = 10–90°, most intense first:
d 2.917, rel. 100, hkl 1 0 7; d 2.565, rel. 88, hkl 1 1 0; d 1.926, rel. 30, hkl 0 2 7; d 1.540, rel. 29, hkl 2 1 7; d 1.481, rel. 16, hkl 3 0 0; d 2.692, rel. 15, hkl 0 1 8; d 1.174, rel. 12, hkl 1 3 7; d 1.476, rel. 11, hkl 1 1 15; d 1.773, rel. 11, hkl 0 1 14; d 1.282, rel. 10, hkl 2 2 0

---

2.
# Nd5Cd4Pd
Computed X-ray diffraction stick pattern, λ = 1.5418 Å (Cu Kα). Input: a DFT-relaxed cell (GGA-PBE, Alexandria).

Structure:
```
data_Nd5Cd4Pd
_chemical_formula_sum 'Nd5 Cd4 Pd1'
_cell_length_a 3.8009
_cell_length_b 3.8009
_cell_length_c 19.1250
_cell_angle_alpha 90.00
_cell_angle_beta 90.00
_cell_angle_gamma 90.00
_symmetry_space_group_name_H-M 'P 4/m m m'
_symmetry_Int_Tables_number 123
_symmetry_space_group_name_Hall '-P 4 2'
loop_
_atom_site_label
_atom_site_type_symbol
_atom_site_fract_x
_atom_site_fract_y
_atom_site_fract_z
_atom_site_occupancy
Nd1 Nd 0.0000 0.0000 0.0000 1
Nd2 Nd 0.0000 0.0000 0.2060 1
Nd3 Nd 0.0000 0.0000 0.4119 1
Cd1 Cd 0.5000 0.5000 0.1034 1
Cd2 Cd 0.5000 0.5000 0.3066 1
Pd1 Pd 0.5000 0.5000 0.5000 1
```

Principal peaks in the range 2θ = 10–90°, most intense first:
d 2.696, rel. 100, hkl 1 0 5; d 2.688, rel. 52, hkl 1 1 0; d 1.553, rel. 37, hkl 2 1 5; d 1.900, rel. 19, hkl 2 0 0; d 1.558, rel. 16, hkl 1 1 10; d 1.202, rel. 16, hkl 3 1 0; d 1.348, rel. 10, hkl 2 0 10; d 1.913, rel. 8, hkl 0 0 10; d 1.344, rel. 6, hkl 2 2 0; d 1.100, rel. 5, hkl 2 2 10

---

3.
# Nd2Cd3Pd4
Computed X-ray diffraction stick pattern, λ = 1.5418 Å (Cu Kα). Input: a DFT-relaxed cell (GGA-PBE, Alexandria).

Structure:
```
data_Nd2Cd3Pd4
_chemical_formula_sum 'Nd8 Cd12 Pd16'
_cell_length_a 5.8225
_cell_length_b 17.3809
_cell_length_c 7.5737
_cell_angle_alpha 90.00
_cell_angle_beta 90.00
_cell_angle_gamma 90.00
_symmetry_space_group_name_H-M 'C m c e'
_symmetry_Int_Tables_number 64
_symmetry_space_group_name_Hall '-C 2ac 2'
loop_
_atom_site_label
_atom_site_type_symbol
_atom_site_fract_x
_atom_site_fract_y
_atom_site_fract_z
_atom_site_occupancy
Nd1 Nd 0.0000 0.1062 0.0820 1
Cd1 Cd 0.0000 0.0000 0.5000 1
Cd2 Cd 0.2500 0.2351 0.7500 1
Pd1 Pd 0.0000 0.1620 0.4729 1
Pd2 Pd 0.2500 0.0735 0.7500 1
```

Principal peaks in the range 2θ = 10–90°, most intense first:
d 2.308, rel. 100, hkl 2 0 2; d 2.778, rel. 92, hkl 1 5 1; d 2.422, rel. 69, hkl 0 2 3; d 2.300, rel. 52, hkl 0 6 2; d 2.594, rel. 47, hkl 2 2 1; d 1.392, rel. 25, hkl 2 6 4; d 2.053, rel. 23, hkl 2 6 0; d 1.654, rel. 19, hkl 3 5 1; d 2.855, rel. 18, hkl 0 4 2; d 2.706, rel. 18, hkl 0 6 1

---

4.
# NdCd9Pd2
Computed X-ray diffraction stick pattern, λ = 1.5418 Å (Cu Kα). Input: a DFT-relaxed cell (GGA-PBE, Alexandria).

Structure:
```
data_NdCd9Pd2
_chemical_formula_sum 'Nd4 Cd36 Pd8'
_cell_length_a 11.7255
_cell_length_b 11.7255
_cell_length_c 7.5565
_cell_angle_alpha 90.00
_cell_angle_beta 90.00
_cell_angle_gamma 90.00
_symmetry_space_group_name_H-M 'I 41/a m d'
_symmetry_Int_Tables_number 141
loop_
_symmetry_equiv_pos_as_xyz
'x,y,z'
'-x,-y,-z'
'-y+1/4,x+3/4,z+1/4'
'y+1/4,-x+3/4,-z+1/4'
'-x+1/2,-y,z+1/2'
'x+1/2,y,-z+1/2'
'y+1/4,-x+1/4,z+3/4'
'-y+1/4,x+1/4,-z+3/4'
'x,-y,-z'
'-x,y,z'
'-y+1/4,-x+1/4,-z+3/4'
'y+1/4,x+1/4,z+3/4'
'-x+1/2,y,-z+1/2'
'x+1/2,-y,z+1/2'
'y+1/4,x+3/4,-z+1/4'
'-y+1/4,-x+3/4,z+1/4'
'x+1/2,y+1/2,z+1/2'
'-x+1/2,-y+1/2,-z+1/2'
'-y+3/4,x+1/4,z+3/4'
'y+3/4,-x+1/4,-z+3/4'
'-x,-y+1/2,z'
'x,y+1/2,-z'
'y+3/4,-x+3/4,z+1/4'
'-y+3/4,x+3/4,-z+1/4'
'x+1/2,-y+1/2,-z+1/2'
'-x+1/2,y+1/2,z+1/2'
'-y+3/4,-x+3/4,-z+1/4'
'y+3/4,x+3/4,z+1/4'
'-x,y+1/2,-z'
'x,-y+1/2,z'
'y+3/4,x+1/4,-z+3/4'
'-y+3/4,-x+1/4,z+3/4'
loop_
_atom_site_label
_atom_site_type_symbol
_atom_site_fract_x
_atom_site_fract_y
_atom_site_fract_z
_atom_site_occupancy
Nd1 Nd 0.0000 0.2500 0.3750 1
Cd1 Cd 0.0000 0.2500 0.8750 1
Cd2 Cd 0.1206 0.0512 0.6783 1
Pd1 Pd 0.0000 0.0000 0.0000 1
```

Principal peaks in the range 2θ = 10–90°, most intense first:
d 2.646, rel. 100, hkl 3 1 2; d 2.240, rel. 88, hkl 5 0 1; d 2.622, rel. 65, hkl 4 2 0; d 2.154, rel. 35, hkl 4 2 2; d 2.463, rel. 32, hkl 1 0 3; d 2.987, rel. 29, hkl 3 2 1; d 1.518, rel. 29, hkl 5 5 2; d 2.270, rel. 26, hkl 2 1 3; d 1.311, rel. 17, hkl 8 4 0; d 2.316, rel. 15, hkl 4 0 2

---

5.
# NdCd4Pd
Computed X-ray diffraction stick pattern, λ = 1.5418 Å (Cu Kα). Input: a DFT-relaxed cell (GGA-PBE, Alexandria).

Structure:
```
data_NdCd4Pd
_chemical_formula_sum 'Nd2 Cd8 Pd2'
_cell_length_a 8.6111
_cell_length_b 4.3110
_cell_length_c 7.4608
_cell_angle_alpha 90.00
_cell_angle_beta 90.00
_cell_angle_gamma 90.00
_symmetry_space_group_name_H-M 'P m m a'
_symmetry_Int_Tables_number 51
loop_
_symmetry_equiv_pos_as_xyz
'x,y,z'
'-x,-y,-z'
'-x+1/2,-y,z'
'x+1/2,y,-z'
'x+1/2,-y,-z'
'-x+1/2,y,z'
'-x,y,-z'
'x,-y,z'
loop_
_atom_site_label
_atom_site_type_symbol
_atom_site_fract_x
_atom_site_fract_y
_atom_site_fract_z
_atom_site_occupancy
Nd1 Nd 0.2500 0.0000 0.1046 1
Cd1 Cd 0.0000 0.0000 0.5000 1
Cd2 Cd 0.0492 0.5000 0.8101 1
Cd3 Cd 0.2500 0.5000 0.4446 1
Pd1 Pd 0.2500 0.0000 0.7197 1
```

Principal peaks in the range 2θ = 10–90°, most intense first:
d 2.820, rel. 100, hkl 2 1 1; d 2.154, rel. 70, hkl 0 2 0; d 2.360, rel. 62, hkl 2 1 2; d 2.680, rel. 60, hkl 1 1 2; d 2.275, rel. 27, hkl 3 0 2; d 2.389, rel. 25, hkl 1 0 3; d 1.470, rel. 21, hkl 5 1 2; d 1.523, rel. 19, hkl 4 2 0; d 3.046, rel. 17, hkl 2 1 0; d 1.340, rel. 17, hkl 2 3 1

---

6.
# Nd3Cd4Pd4
Computed X-ray diffraction stick pattern, λ = 1.5418 Å (Cu Kα). Input: a DFT-relaxed cell (GGA-PBE, Alexandria).

Structure:
```
data_Nd3Cd4Pd4
_chemical_formula_sum 'Nd6 Cd8 Pd8'
_cell_length_a 4.1787
_cell_length_b 8.0291
_cell_length_c 15.0380
_cell_angle_alpha 90.00
_cell_angle_beta 90.00
_cell_angle_gamma 90.00
_symmetry_space_group_name_H-M 'I m m m'
_symmetry_Int_Tables_number 71
_symmetry_space_group_name_Hall '-I 2 2'
loop_
_atom_site_label
_atom_site_type_symbol
_atom_site_fract_x
_atom_site_fract_y
_atom_site_fract_z
_atom_site_occupancy
Nd1 Nd 0.0000 0.0000 0.0000 1
Nd2 Nd 0.0000 0.5000 0.1206 1
Cd1 Cd 0.0000 0.3066 0.3294 1
Pd1 Pd 0.0000 0.0000 0.2296 1
Pd2 Pd 0.0000 0.1847 0.5000 1
```

Principal peaks in the range 2θ = 10–90°, most intense first:
d 2.640, rel. 100, hkl 1 1 4; d 2.843, rel. 100, hkl 1 2 1; d 2.088, rel. 51, hkl 2 0 0; d 2.361, rel. 45, hkl 0 3 3; d 2.507, rel. 29, hkl 0 0 6; d 2.816, rel. 26, hkl 0 1 5; d 1.565, rel. 24, hkl 2 3 3; d 2.159, rel. 24, hkl 1 3 2; d 1.392, rel. 23, hkl 1 5 4; d 1.678, rel. 15, hkl 2 1 5

---

7.
# Nd2Cd5Pd4
Computed X-ray diffraction stick pattern, λ = 1.5418 Å (Cu Kα). Input: a DFT-relaxed cell (GGA-PBE, Alexandria).

Structure:
```
data_Nd2Cd5Pd4
_chemical_formula_sum 'Nd8 Cd20 Pd16'
_cell_length_a 5.6831
_cell_length_b 9.4388
_cell_length_c 18.3499
_cell_angle_alpha 90.00
_cell_angle_beta 90.00
_cell_angle_gamma 90.00
_symmetry_space_group_name_H-M 'F m m m'
_symmetry_Int_Tables_number 69
_symmetry_space_group_name_Hall '-F 2 2'
loop_
_atom_site_label
_atom_site_type_symbol
_atom_site_fract_x
_atom_site_fract_y
_atom_site_fract_z
_atom_site_occupancy
Nd1 Nd 0.0000 0.0000 0.1319 1
Cd1 Cd 0.0000 0.0000 0.5000 1
Cd2 Cd 0.2500 0.2500 0.0000 1
Cd3 Cd 0.2500 0.2500 0.2500 1
Pd1 Pd 0.0000 0.1617 0.3719 1
```

Principal peaks in the range 2θ = 10–90°, most intense first:
d 2.416, rel. 100, hkl 2 0 4; d 2.510, rel. 88, hkl 1 3 3; d 2.294, rel. 62, hkl 0 0 8; d 2.434, rel. 41, hkl 2 2 0; d 2.202, rel. 40, hkl 1 3 5; d 3.289, rel. 39, hkl 0 2 4; d 2.722, rel. 36, hkl 1 3 1; d 1.180, rel. 30, hkl 2 6 8; d 2.150, rel. 29, hkl 2 2 4; d 1.376, rel. 24, hkl 2 6 0

---

8.
# Nd2Cd2SnPd5
Computed X-ray diffraction stick pattern, λ = 1.5418 Å (Cu Kα). Input: a DFT-relaxed cell (GGA-PBE, Alexandria).

Structure:
```
data_Nd2Cd2SnPd5
_chemical_formula_sum 'Nd4 Cd4 Sn2 Pd10'
_cell_length_a 10.4947
_cell_length_b 10.4947
_cell_length_c 3.7610
_cell_angle_alpha 90.00
_cell_angle_beta 90.00
_cell_angle_gamma 90.00
_symmetry_space_group_name_H-M 'P 4/m b m'
_symmetry_Int_Tables_number 127
_symmetry_space_group_name_Hall '-P 4 2ab'
loop_
_atom_site_label
_atom_site_type_symbol
_atom_site_fract_x
_atom_site_fract_y
_atom_site_fract_z
_atom_site_occupancy
Nd1 Nd 0.1699 0.3301 0.0000 1
Cd1 Cd 0.1297 0.6297 0.0000 1
Sn1 Sn 0.0000 0.0000 0.0000 1
Pd1 Pd 0.0000 0.5000 0.5000 1
Pd2 Pd 0.0391 0.8015 0.5000 1
```

Principal peaks in the range 2θ = 10–90°, most intense first:
d 2.488, rel. 100, hkl 3 1 1; d 2.474, rel. 30, hkl 3 3 0; d 2.545, rel. 26, hkl 4 1 0; d 2.641, rel. 25, hkl 2 2 1; d 2.152, rel. 23, hkl 4 0 1; d 2.302, rel. 20, hkl 3 2 1; d 1.880, rel. 20, hkl 0 0 2; d 1.497, rel. 12, hkl 3 3 2; d 1.294, rel. 11, hkl 7 3 1; d 1.512, rel. 10, hkl 4 1 2

---

9.
# NdYCdPd
Computed X-ray diffraction stick pattern, λ = 1.5418 Å (Cu Kα). Input: a DFT-relaxed cell (GGA-PBE, Alexandria).

Structure:
```
data_NdYCdPd
_chemical_formula_sum 'Nd4 Y4 Cd4 Pd4'
_cell_length_a 7.3766
_cell_length_b 7.3766
_cell_length_c 7.3766
_cell_angle_alpha 90.00
_cell_angle_beta 90.00
_cell_angle_gamma 90.00
_symmetry_space_group_name_H-M 'F -4 3 m'
_symmetry_Int_Tables_number 216
_symmetry_space_group_name_Hall 'F -4 2 3'
loop_
_atom_site_label
_atom_site_type_symbol
_atom_site_fract_x
_atom_site_fract_y
_atom_site_fract_z
_atom_site_occupancy
Nd1 Nd 0.0000 0.0000 0.0000 1
Y1 Y 0.0000 0.0000 0.5000 1
Cd1 Cd 0.2500 0.2500 0.7500 1
Pd1 Pd 0.2500 0.2500 0.2500 1
```

Principal peaks in the range 2θ = 10–90°, most intense first:
d 2.608, rel. 100, hkl 2 2 0; d 1.506, rel. 36, hkl 4 2 2; d 1.844, rel. 18, hkl 4 0 0; d 1.166, rel. 15, hkl 6 2 0; d 1.304, rel. 11, hkl 4 4 0; d 4.259, rel. 3, hkl 1 1 1; d 2.224, rel. 2, hkl 3 1 1; d 1.692, rel. 1, hkl 3 3 1; d 1.247, rel. 1, hkl 5 3 1; d 1.420, rel. 1, hkl 5 1 1

---

10.
# Pm7NdCd2
Computed X-ray diffraction stick pattern, λ = 1.5418 Å (Cu Kα). Input: a DFT-relaxed cell (GGA-PBE, Alexandria).

Structure:
```
data_Pm7NdCd2
_chemical_formula_sum 'Pm14 Nd2 Cd4'
_cell_length_a 9.1105
_cell_length_b 15.9543
_cell_length_c 5.4149
_cell_angle_alpha 90.00
_cell_angle_beta 90.00
_cell_angle_gamma 90.00
_symmetry_space_group_name_H-M 'C m m m'
_symmetry_Int_Tables_number 65
_symmetry_space_group_name_Hall '-C 2 2'
loop_
_atom_site_label
_atom_site_type_symbol
_atom_site_fract_x
_atom_site_fract_y
_atom_site_fract_z
_atom_site_occupancy
Pm1 Pm 0.0000 0.0000 0.0000 1
Pm2 Pm 0.0000 0.2731 0.5000 1
Pm3 Pm 0.1828 0.3815 0.0000 1
Nd1 Nd 0.0000 0.5000 0.5000 1
Cd1 Cd 0.0000 0.1965 0.0000 1
```

Principal peaks in the range 2θ = 10–90°, most intense first:
d 2.632, rel. 100, hkl 1 5 1; d 3.001, rel. 73, hkl 2 4 0; d 2.613, rel. 72, hkl 3 1 1; d 2.707, rel. 57, hkl 0 0 2; d 3.211, rel. 55, hkl 0 4 1; d 2.010, rel. 50, hkl 2 4 2; d 5.415, rel. 45, hkl 0 0 1; d 1.519, rel. 34, hkl 6 0 0; d 4.471, rel. 28, hkl 1 1 1; d 3.486, rel. 23, hkl 2 0 1

---

11.
# Pm8Nd4Cd
Computed X-ray diffraction stick pattern, λ = 1.5418 Å (Cu Kα). Input: a DFT-relaxed cell (GGA-PBE, Alexandria).

Structure:
```
data_Pm8Nd4Cd
_chemical_formula_sum 'Pm24 Nd12 Cd3'
_cell_length_a 11.1803
_cell_length_b 11.1803
_cell_length_c 13.5075
_cell_angle_alpha 90.00
_cell_angle_beta 90.00
_cell_angle_gamma 120.00
_symmetry_space_group_name_H-M 'R -3 m'
_symmetry_Int_Tables_number 166
_symmetry_space_group_name_Hall '-R 3 2"'
loop_
_atom_site_label
_atom_site_type_symbol
_atom_site_fract_x
_atom_site_fract_y
_atom_site_fract_z
_atom_site_occupancy
Pm1 Pm 0.0000 0.0000 0.2436 1
Pm2 Pm 0.0047 0.5023 0.7455 1
Nd1 Nd 0.0000 0.0000 0.0000 1
Nd2 Nd 0.0000 0.5000 0.0000 1
Cd1 Cd 0.0000 0.0000 0.5000 1
```

Principal peaks in the range 2θ = 10–90°, most intense first:
d 2.795, rel. 100, hkl 2 2 0; d 2.770, rel. 97, hkl 0 2 4; d 1.609, rel. 38, hkl 2 4 4; d 1.967, rel. 36, hkl 4 0 4; d 4.557, rel. 20, hkl 0 2 1; d 1.614, rel. 19, hkl 6 0 0; d 1.594, rel. 18, hkl 2 0 8; d 1.248, rel. 16, hkl 6 2 4; d 3.935, rel. 16, hkl 2 0 2; d 1.241, rel. 15, hkl 4 2 8

---

12.
# Pm12NdCd3
Computed X-ray diffraction stick pattern, λ = 1.5418 Å (Cu Kα). Input: a DFT-relaxed cell (GGA-PBE, Alexandria).

Structure:
```
data_Pm12NdCd3
_chemical_formula_sum 'Pm12 Nd1 Cd3'
_cell_length_a 4.9852
_cell_length_b 4.9852
_cell_length_c 20.2407
_cell_angle_alpha 90.00
_cell_angle_beta 90.00
_cell_angle_gamma 90.00
_symmetry_space_group_name_H-M 'P 4/m m m'
_symmetry_Int_Tables_number 123
_symmetry_space_group_name_Hall '-P 4 2'
loop_
_atom_site_label
_atom_site_type_symbol
_atom_site_fract_x
_atom_site_fract_y
_atom_site_fract_z
_atom_site_occupancy
Pm1 Pm 0.0000 0.0000 0.0000 1
Pm2 Pm 0.0000 0.0000 0.2441 1
Pm3 Pm 0.0000 0.0000 0.5000 1
Pm4 Pm 0.0000 0.5000 0.1220 1
Pm5 Pm 0.0000 0.5000 0.3681 1
Nd1 Nd 0.5000 0.5000 0.5000 1
Cd1 Cd 0.5000 0.5000 0.0000 1
Cd2 Cd 0.5000 0.5000 0.2425 1
```

Principal peaks in the range 2θ = 10–90°, most intense first:
d 2.892, rel. 100, hkl 1 1 4; d 2.493, rel. 34, hkl 2 0 0; d 1.505, rel. 28, hkl 3 1 4; d 1.776, rel. 23, hkl 2 0 8; d 2.530, rel. 16, hkl 0 0 8; d 1.522, rel. 13, hkl 1 1 12; d 1.763, rel. 12, hkl 2 2 0; d 1.446, rel. 11, hkl 2 2 8; d 1.152, rel. 10, hkl 3 1 12; d 1.145, rel. 6, hkl 3 3 4

---

13.
# Pm2NdCd2
Computed X-ray diffraction stick pattern, λ = 1.5418 Å (Cu Kα). Input: a DFT-relaxed cell (GGA-PBE, Alexandria).

Structure:
```
data_Pm2NdCd2
_chemical_formula_sum 'Pm4 Nd2 Cd4'
_cell_length_a 3.8273
_cell_length_b 5.5098
_cell_length_c 14.1881
_cell_angle_alpha 90.00
_cell_angle_beta 97.72
_cell_angle_gamma 90.00
_symmetry_space_group_name_H-M 'P 1 21/m 1'
_symmetry_Int_Tables_number 11
loop_
_symmetry_equiv_pos_as_xyz
'x,y,z'
'-x,-y,-z'
'-x,y+1/2,-z'
'x,-y+1/2,z'
loop_
_atom_site_label
_atom_site_type_symbol
_atom_site_fract_x
_atom_site_fract_y
_atom_site_fract_z
_atom_site_occupancy
Pm1 Pm 0.0455 0.2500 0.0914 1
Pm2 Pm 0.2370 0.2500 0.4721 1
Nd1 Nd 0.1466 0.7500 0.2952 1
Cd1 Cd 0.3588 0.7500 0.7181 1
Cd2 Cd 0.4499 0.2500 0.8986 1
```

Principal peaks in the range 2θ = 10–90°, most intense first:
d 2.744, rel. 100, hkl 1 1 2; d 2.755, rel. 27, hkl 0 2 0; d 2.812, rel. 22, hkl 0 0 5; d 1.588, rel. 19, hkl 1 3 2; d 1.968, rel. 16, hkl 0 2 5; d 1.610, rel. 12, hkl 1 1 7; d 1.572, rel. 10, hkl 2 2 -1; d 1.372, rel. 9, hkl 2 2 4; d 1.914, rel. 9, hkl 2 0 -1; d 1.582, rel. 8, hkl 2 0 4